Record 1
The following is a simulated powder XRD pattern of PmTh4N4. It was derived from a cell relaxed with GGA-PBE, using Cu Kα (weighted mean of Kα1 and Kα2).
Neutral-atom scattering factors, no anomalous dispersion.

Cell and atoms:
Cell: 11.5676 5.1742 8.1731 Å, 90.00 134.95 90.00°
Space group C2/m (No. 12)
Inequivalent atoms, fractional coordinates:
Pm1 0.0000 0.0000 0.0000 (multiplicity 2)
Th1 0.1077 0.5000 0.4157 (multiplicity 4)
Th2 0.1917 0.0000 0.7995 (multiplicity 4)
N1 0.1014 0.0000 0.4092 (multiplicity 4)
N2 0.1920 0.5000 0.7928 (multiplicity 4)

Peak list (10 most intense, 2θ = 10–90°, by angle)
2θ/deg	I_rel	h k l
15.32	3	0 0 1
29.91	100	1 1 1
34.68	62	0 2 0
49.85	44	4 2 -1
59.23	45	1 3 1
62.15	15	2 2 2
73.14	5	0 4 0
81.01	18	5 3 -5
83.55	15	4 4 -1
83.64	5	4 2 -6


Record 2
The following is a simulated powder XRD pattern of PmTm2TiN4. It was derived from a cell relaxed with GGA-PBE, using Cu Kα (weighted mean of Kα1 and Kα2).
Neutral-atom scattering factors, no anomalous dispersion.

Cell and atoms:
Cell: 3.3771 11.6634 11.7364 Å, 90.00 90.00 90.00°
Space group Cmcm (No. 63)
Inequivalent atoms, fractional coordinates:
Pm1 0.0000 0.0983 0.2500 (multiplicity 4)
Tm1 0.0000 0.3706 0.0389 (multiplicity 8)
Ti1 0.0000 0.1644 0.7500 (multiplicity 4)
N1 0.0000 0.0000 0.0000 (multiplicity 4)
N2 0.0000 0.2619 0.6218 (multiplicity 8)
N3 0.0000 0.4338 0.2500 (multiplicity 4)

Peak list (10 most intense, 2θ = 10–90°, by angle)
2θ/deg	I_rel	h k l
27.46	70	0 2 3
30.47	39	0 0 4
30.66	49	0 4 0
31.51	100	1 1 2
36.04	39	1 3 1
38.50	65	1 3 2
43.77	23	0 4 4
47.83	27	1 1 5
50.00	26	1 5 2
53.03	26	1 3 5


Record 3
The following is a simulated powder XRD pattern of Pm4TmN5. It was derived from a cell relaxed with GGA-PBE, using Cu Kα (weighted mean of Kα1 and Kα2).
Neutral-atom scattering factors, no anomalous dispersion.

Cell and atoms:
Cell: 7.9701 7.9701 5.0956 Å, 90.00 90.00 90.00°
Space group I4 (No. 79)
Inequivalent atoms, fractional coordinates:
Pm1 0.1008 0.2986 0.0000 (multiplicity 8)
Tm1 0.0000 0.0000 0.4934 (multiplicity 2)
N1 0.0000 0.0000 0.0320 (multiplicity 2)
N2 0.0973 0.2920 0.5147 (multiplicity 8)

Peak list (10 most intense, 2θ = 10–90°, by angle)
2θ/deg	I_rel	h k l
30.61	100	2 1 1
35.23	25	0 0 2
35.62	48	1 3 0
50.97	34	1 3 2
51.26	17	4 2 0
60.37	16	2 1 3
60.89	30	5 0 1
63.73	17	4 2 2
83.10	13	5 0 3
85.39	7	1 3 4


Record 4
The following is a simulated powder XRD pattern of Pm2UN4. It was derived from a cell relaxed with GGA-PBE, using Cu Kα (weighted mean of Kα1 and Kα2).
Neutral-atom scattering factors, no anomalous dispersion.

Cell and atoms:
Cell: 5.9735 10.0042 3.5876 Å, 90.00 90.00 90.00°
Space group Pbam (No. 55)
Inequivalent atoms, fractional coordinates:
Pm1 0.0639 0.1772 0.0000 (multiplicity 4)
U1 0.0000 0.5000 0.5000 (multiplicity 2)
N1 0.1405 0.6897 0.5000 (multiplicity 4)
N2 0.2250 0.4563 0.0000 (multiplicity 4)

Peak list (10 most intense, 2θ = 10–90°, by angle)
2θ/deg	I_rel	h k l
17.29	15	1 1 0
29.92	24	2 0 0
30.41	69	1 1 1
30.69	100	1 3 0
40.31	12	2 1 1
43.37	31	2 2 1
50.91	11	0 0 2
54.23	11	2 4 1
54.73	22	1 5 1
60.63	19	1 3 2


Record 5
The following is a simulated powder XRD pattern of PmV2N4. It was derived from a cell relaxed with GGA-PBE, using Cu Kα (weighted mean of Kα1 and Kα2).
Neutral-atom scattering factors, no anomalous dispersion.

Cell and atoms:
Cell: 3.6252 10.0951 9.5292 Å, 90.00 90.00 90.00°
Space group Pbcm (No. 57)
Inequivalent atoms, fractional coordinates:
Pm1 0.1629 0.1459 0.2500 (multiplicity 4)
V1 0.4646 0.6168 0.5679 (multiplicity 8)
N1 0.2229 0.2500 0.0000 (multiplicity 4)
N2 0.3050 0.5380 0.1025 (multiplicity 8)
N3 0.3276 0.6707 0.7500 (multiplicity 4)

Peak list (10 most intense, 2θ = 10–90°, by angle)
2θ/deg	I_rel	h k l
19.91	70	0 2 1
26.12	27	1 1 0
27.77	38	1 1 1
31.00	48	1 0 2
31.81	68	1 2 1
32.27	35	1 1 2
33.33	100	0 2 3
35.57	37	0 4 0
37.69	79	1 3 1
47.89	25	1 4 2


Record 6
The following is a simulated powder XRD pattern of PmW2N4. It was derived from a cell relaxed with GGA-PBE, using Cu Kα (weighted mean of Kα1 and Kα2).
Neutral-atom scattering factors, no anomalous dispersion.

Cell and atoms:
Cell: 3.3210 9.9014 10.1097 Å, 90.00 90.00 90.00°
Space group Cmcm (No. 63)
Inequivalent atoms, fractional coordinates:
Pm1 0.0000 0.1242 0.2500 (multiplicity 4)
W1 0.0000 0.3826 0.0580 (multiplicity 8)
N1 0.0000 0.0000 0.0000 (multiplicity 4)
N2 0.0000 0.2599 0.6042 (multiplicity 8)
N3 0.0000 0.4312 0.2500 (multiplicity 4)

Peak list (10 most intense, 2θ = 10–90°, by angle)
2θ/deg	I_rel	h k l
29.72	38	1 1 1
32.13	100	0 2 3
33.53	67	1 1 2
36.29	38	0 4 0
39.51	31	1 3 1
42.56	36	1 3 2
53.89	33	1 1 5
57.14	22	1 5 2
60.50	25	1 3 5
65.43	27	2 2 3


Record 7
The following is a simulated powder XRD pattern of PmWN2. It was derived from a cell relaxed with GGA-PBE, using Cu Kα (weighted mean of Kα1 and Kα2).
Neutral-atom scattering factors, no anomalous dispersion.

Cell and atoms:
Cell: 5.8548 3.2923 10.7186 Å, 90.00 90.00 90.00°
Space group Pnma (No. 62)
Inequivalent atoms, fractional coordinates:
Pm1 0.0792 0.2500 0.1443 (multiplicity 4)
W1 0.0633 0.7500 0.4055 (multiplicity 4)
N1 0.1649 0.2500 0.7476 (multiplicity 4)
N2 0.2484 0.2500 0.4890 (multiplicity 4)

Peak list (10 most intense, 2θ = 10–90°, by angle)
2θ/deg	I_rel	h k l
17.26	13	1 0 1
30.54	16	2 0 0
31.68	21	2 0 1
32.29	12	1 1 1
33.44	20	0 0 4
35.48	100	1 1 2
39.81	16	2 0 3
45.91	10	2 0 4
55.40	21	3 1 1
55.85	11	0 2 0


Record 8
The following is a simulated powder XRD pattern of Pm2YN3. It was derived from a cell relaxed with GGA-PBE, using Cu Kα (weighted mean of Kα1 and Kα2).
Neutral-atom scattering factors, no anomalous dispersion.

Cell and atoms:
Cell: 7.1474 5.0504 10.7179 Å, 90.00 90.00 90.00°
Space group Pnma (No. 62)
Inequivalent atoms, fractional coordinates:
Pm1 0.1263 0.2500 0.2494 (multiplicity 4)
Pm2 0.1273 0.2500 0.5835 (multiplicity 4)
Y1 0.1251 0.2500 0.9180 (multiplicity 4)
N1 0.1219 0.7500 0.9184 (multiplicity 4)
N2 0.1301 0.7500 0.2520 (multiplicity 4)
N3 0.1352 0.7500 0.5800 (multiplicity 4)

Peak list (10 most intense, 2θ = 10–90°, by angle)
2θ/deg	I_rel	h k l
14.90	2	1 0 1
23.11	2	1 1 1
30.65	100	2 1 0
35.54	78	2 0 3
51.14	53	2 2 3
60.81	45	4 1 3
63.82	18	0 2 6
75.23	8	0 4 0
83.38	19	6 1 0
86.06	23	2 4 3


Record 9
The following is a simulated powder XRD pattern of Pm3ZnN. It was derived from a cell relaxed with GGA-PBE, using Cu Kα (weighted mean of Kα1 and Kα2).
Neutral-atom scattering factors, no anomalous dispersion.

Cell and atoms:
Cell: 7.0458 9.8305 6.8321 Å, 90.00 90.00 90.00°
Space group Pnma (No. 62)
Inequivalent atoms, fractional coordinates:
Pm1 0.0164 0.2500 0.0871 (multiplicity 4)
Pm2 0.2211 0.0421 0.7187 (multiplicity 8)
Zn1 0.0350 0.7500 0.4807 (multiplicity 4)
N1 0.0000 0.0000 0.0000 (multiplicity 4)

Peak list (10 most intense, 2θ = 10–90°, by angle)
2θ/deg	I_rel	h k l
29.95	23	2 1 1
30.25	44	0 3 1
30.47	26	1 1 2
31.24	100	2 2 0
31.90	65	0 2 2
36.62	80	2 0 2
40.65	12	0 1 3
52.73	17	2 4 2
55.15	30	2 5 1
55.64	17	2 3 3


Record 10
The following is a simulated powder XRD pattern of Pm3ZrN4. It was derived from a cell relaxed with GGA-PBE, using Cu Kα (weighted mean of Kα1 and Kα2).
Neutral-atom scattering factors, no anomalous dispersion.

Cell and atoms:
Cell: 7.0596 9.9228 3.5009 Å, 90.00 90.00 90.00°
Space group Cmmm (No. 65)
Inequivalent atoms, fractional coordinates:
Pm1 0.0000 0.0000 0.0000 (multiplicity 2)
Pm2 0.2500 0.2500 0.5000 (multiplicity 4)
Zr1 0.0000 0.5000 0.0000 (multiplicity 2)
N1 0.0000 0.2637 0.0000 (multiplicity 4)
N2 0.2294 0.5000 0.5000 (multiplicity 4)

Peak list (10 most intense, 2θ = 10–90°, by angle)
2θ/deg	I_rel	h k l
31.10	67	2 2 0
31.27	65	0 2 1
36.16	100	2 0 1
51.80	11	4 0 0
52.09	45	2 4 1
52.26	11	0 0 2
61.76	20	4 2 1
62.07	29	0 6 1
64.83	11	4 4 0
65.23	11	0 4 2


Record 11
The following is a simulated powder XRD pattern of Pr4N3. It was derived from a cell relaxed with GGA-PBE, using Cu Kα (weighted mean of Kα1 and Kα2).
Neutral-atom scattering factors, no anomalous dispersion.

Cell and atoms:
Cell: 5.2115 5.2115 5.2115 Å, 90.00 90.00 90.00°
Space group Pm-3m (No. 221)
Inequivalent atoms, fractional coordinates:
Pr1 0.0000 0.0000 0.0000 (multiplicity 1)
Pr2 0.0000 0.5000 0.5000 (multiplicity 3)
N1 0.0000 0.0000 0.5000 (multiplicity 3)

Peak list (8 most intense, 2θ = 10–90°, by angle)
2θ/deg	I_rel	h k l
29.69	100	1 1 1
34.42	68	2 0 0
49.47	48	2 2 0
58.76	45	3 1 1
61.65	16	2 2 2
72.56	7	4 0 0
80.30	19	3 3 1
82.84	21	4 2 0


Record 12
The following is a simulated powder XRD pattern of PrPu5N6. It was derived from a cell relaxed with GGA-PBE, using Cu Kα (weighted mean of Kα1 and Kα2).
Neutral-atom scattering factors, no anomalous dispersion.

Cell and atoms:
Cell: 6.0929 10.5418 6.0913 Å, 90.00 109.50 90.00°
Space group C2/m (No. 12)
Inequivalent atoms, fractional coordinates:
Pr1 0.0000 0.0000 0.0000 (multiplicity 2)
Pu1 0.0000 0.1661 0.5000 (multiplicity 4)
Pu2 0.0000 0.3332 0.0000 (multiplicity 4)
Pu3 0.0000 0.5000 0.5000 (multiplicity 2)
N1 0.2306 0.5000 0.2540 (multiplicity 4)
N2 0.2366 0.3247 0.7381 (multiplicity 8)

Peak list (10 most intense, 2θ = 10–90°, by angle)
2θ/deg	I_rel	h k l
31.16	100	2 0 0
36.13	65	1 3 1
52.02	46	2 0 2
61.87	23	3 3 1
61.91	23	2 6 0
64.97	16	0 0 4
76.66	7	2 6 2
85.02	8	4 0 2
85.05	12	4 0 2
87.78	18	0 6 4